# Y2TeO6
Computed X-ray diffraction stick pattern, CuKα. Input: DFT lattice parameters and positions (PBE).
Intensities are scaled so that the largest is 100.

Most intense lines, 2θ from 10° to 90°, sorted by position:
(0 1 1), 20.32°, d = 4.370 Å, I = 29; (1 1 1), 25.83°, d = 3.449 Å, I = 100; (0 2 1), 28.21°, d = 3.164 Å, I = 70; (2 1 0), 29.76°, d = 3.002 Å, I = 13; (3 0 0), 33.86°, d = 2.648 Å, I = 47; (0 0 2), 34.27°, d = 2.617 Å, I = 16; (1 2 1), 34.44°, d = 2.604 Å, I = 36; (1 2 2), 46.01°, d = 1.972 Å, I = 14; (0 3 2), 48.94°, d = 1.861 Å, I = 64; (2 3 1), 53.23°, d = 1.721 Å, I = 34

Atomic structure:
```
27
Lattice="9.171 0.000 0.000 -4.586 7.943 0.000 0.000 0.000 5.233" Properties=species:S:1:pos:R:3 pbc="T T T"
Y -1.293 2.240 0.000
Y -2.838 4.916 2.617
Y 2.587 0.000 0.000
Y 1.747 3.026 2.617
Y 5.677 0.000 2.617
Y 3.292 5.703 0.000
Te 0.000 0.000 2.617
Te 0.000 5.295 5.227
Te 4.586 2.648 0.006
O -3.313 6.971 1.513
O 0.205 1.588 1.513
O -1.274 4.321 1.108
O 1.273 0.971 3.721
O -1.416 6.052 4.105
O 0.053 3.690 4.105
O -0.206 6.886 1.108
O 1.481 4.679 1.108
O 3.169 1.891 1.128
O 1.363 6.143 4.105
O 4.379 1.057 4.125
O 3.311 3.622 4.125
O 5.949 1.799 1.128
O 4.639 4.253 1.128
O 3.108 7.326 1.513
O 6.066 3.264 4.125
O 7.694 0.616 3.721
O 4.791 6.355 3.721
```